Starting from a DFT-relaxed cell (GGA-PBE, the Materials Project), the powder diffractogram of CdCN2 was calculated for copper Kα.

Atomic structure:
Cell lengths 3.6105, 3.6105, 14.6345 Å; angles 90.00, 90.00, 120.00 degrees
Space group R-3m (No. 166, hexagonal axes)
Symmetry-distinct sites (fractional):
1 Cd 0.0000 0.0000 0.0000 [3 per cell]
2 C 0.0000 0.0000 0.5000 [3 per cell]
3 N 0.0000 0.0000 0.4155 [6 per cell]

Principal peaks in the range 5 to 70 degrees two-theta, by angle:
2θ (°), I_rel, index
18.19, 67, 0 0 3
29.21, 37, 1 0 1
31.10, 100, 0 1 2
36.85, 10, 0 0 6
37.85, 37, 1 0 4
42.30, 35, 0 1 5
50.56, 27, 1 1 0
52.67, 17, 1 0 7
54.17, 23, 1 1 3
58.45, 10, 0 1 8
60.56, 13, 2 0 2
64.18, 12, 1 1 6

***

Starting from a DFT-relaxed cell (GGA-PBE, the Materials Project), the powder diffractogram of Li6Cu9P8O32 was calculated for copper Kα.

Atomic structure:
Cell lengths 8.728, 8.920, 9.070 Å; angles 111.29, 99.20, 104.57 degrees
Space group P-1 (No. 2)
Symmetry-distinct sites (fractional):
1 Li 0.025 0.224 0.266 [2 per cell]
2 Li 0.321 0.829 0.357 [2 per cell]
3 Li 0.354 0.591 0.976 [2 per cell]
4 Cu 0.000 0.000 0.500 [1 per cell]
5 Cu 0.000 0.500 0.000 [1 per cell]
6 Cu 0.204 0.227 0.938 [2 per cell]
7 Cu 0.287 0.624 0.571 [2 per cell]
8 Cu 0.340 0.195 0.442 [2 per cell]
9 Cu 0.500 0.000 0.000 [1 per cell]
10 P 0.034 0.384 0.651 [2 per cell]
11 P 0.167 0.875 0.091 [2 per cell]
12 P 0.346 0.067 0.727 [2 per cell]
13 P 0.405 0.447 0.281 [2 per cell]
14 O 0.012 0.177 0.017 [2 per cell]
15 O 0.091 0.390 0.827 [2 per cell]
16 O 0.095 0.249 0.533 [2 per cell]
17 O 0.105 0.567 0.662 [2 per cell]
18 O 0.153 0.021 0.704 [2 per cell]
19 O 0.157 0.674 0.406 [2 per cell]
20 O 0.184 0.976 0.277 [2 per cell]
21 O 0.208 0.711 0.080 [2 per cell]
22 O 0.279 0.316 0.316 [2 per cell]
23 O 0.280 0.977 0.020 [2 per cell]
24 O 0.319 0.455 0.122 [2 per cell]
25 O 0.393 0.070 0.570 [2 per cell]
26 O 0.412 0.935 0.763 [2 per cell]
27 O 0.416 0.244 0.877 [2 per cell]
28 O 0.434 0.589 0.737 [2 per cell]
29 O 0.446 0.627 0.432 [2 per cell]

Principal peaks in the range 5 to 70 degrees two-theta, by angle:
2θ (°), I_rel, index
16.72, 100, 1 1 -1
21.90, 70, 0 0 2
27.14, 94, -1 2 1
28.02, 59, 2 1 -2
31.53, 98, -3 1 1
31.83, 45, 3 0 -1
32.05, 69, 1 -3 2
33.93, 57, 1 -1 3
35.49, 45, -1 2 2
36.01, 39, 1 3 -1
41.57, 38, 2 -3 3
42.56, 49, -3 1 3

***

Starting from a DFT-relaxed cell (GGA-PBE, the Materials Project), the powder diffractogram of Ce3Dy2O9 was calculated for copper Kα.

Atomic structure:
Cell lengths 3.856, 3.856, 27.230 Å; angles 90.00, 90.00, 90.00 degrees
Space group I-4m2 (No. 119)
Symmetry-distinct sites (fractional):
1 Ce 0.000 0.000 0.000 [2 per cell]
2 Ce 0.000 0.000 0.399 [4 per cell]
3 Dy 0.000 0.000 0.195 [4 per cell]
4 O 0.000 0.500 0.046 [4 per cell]
5 O 0.000 0.500 0.145 [4 per cell]
6 O 0.000 0.500 0.250 [2 per cell]
7 O 0.000 0.500 0.555 [4 per cell]
8 O 0.000 0.500 0.658 [4 per cell]

Principal peaks in the range 5 to 70 degrees two-theta, by angle:
2θ (°), I_rel, index
13.00, 1, 0 0 4
19.56, 1, 0 0 6
28.36, 100, 1 0 5
32.86, 32, 1 1 0
37.79, 1, 1 0 9
43.44, 1, 1 0 11
47.16, 51, 2 0 0
55.95, 43, 2 1 5
58.27, 1, 1 1 14
58.67, 9, 2 0 10
68.87, 5, 2 2 0
68.97, 2, 0 0 20

***

Starting from a DFT-relaxed cell (GGA-PBE, the Materials Project), the powder diffractogram of Rb2YHgBr6 was calculated for copper Kα.

Atomic structure:
Cell lengths 11.698, 11.698, 11.698 Å; angles 90.00, 90.00, 90.00 degrees
Space group Fm-3m (No. 225)
Symmetry-distinct sites (fractional):
1 Rb 0.250 0.250 0.250 [8 per cell]
2 Y 0.000 0.000 0.000 [4 per cell]
3 Hg 0.000 0.000 0.500 [4 per cell]
4 Br 0.000 0.000 0.239 [24 per cell]

Principal peaks in the range 5 to 70 degrees two-theta, by angle:
2θ (°), I_rel, index
15.15, 47, 2 0 0
21.49, 48, 2 2 0
26.39, 30, 2 2 2
30.57, 100, 4 0 0
34.28, 25, 4 2 0
37.67, 22, 4 2 2
43.78, 72, 4 4 0
46.58, 13, 6 0 0
49.27, 12, 6 2 0
51.84, 12, 6 2 2
54.33, 25, 4 4 4
59.10, 13, 6 4 2

***

Starting from a DFT-relaxed cell (GGA-PBE, the Materials Project), the powder diffractogram of La2UAs3 was calculated for copper Kα.

Atomic structure:
Cell lengths 4.259, 6.053, 12.906 Å; angles 90.00, 90.00, 90.00 degrees
Space group Immm (No. 71)
Symmetry-distinct sites (fractional):
1 La 0.000 0.000 0.168 [4 per cell]
2 U 0.000 0.000 0.500 [2 per cell]
3 As 0.000 0.500 0.155 [4 per cell]
4 As 0.000 0.500 0.500 [2 per cell]

Principal peaks in the range 5 to 70 degrees two-theta, by angle:
2θ (°), I_rel, index
25.40, 13, 0 1 3
25.57, 13, 1 1 0
29.51, 100, 0 2 0
42.00, 12, 0 0 6
42.23, 50, 1 2 3
42.45, 13, 2 0 0
49.86, 7, 1 1 6
50.09, 7, 2 1 3
52.17, 13, 0 2 6
52.55, 13, 2 2 0
61.25, 12, 0 4 0
69.44, 23, 1 4 3

***

Starting from a DFT-relaxed cell (GGA-PBE, the Materials Project), the powder diffractogram of Ba3SnP3 was calculated for copper Kα.

Atomic structure:
Cell lengths 8.925, 12.869, 8.704 Å; angles 90.00, 114.27, 90.00 degrees
Space group P2_1/c (No. 14)
Symmetry-distinct sites (fractional):
1 Ba 0.002 0.166 0.008 [4 per cell]
2 Ba 0.231 0.569 0.201 [4 per cell]
3 Ba 0.442 0.206 0.822 [4 per cell]
4 Sn 0.334 0.506 0.861 [4 per cell]
5 P 0.167 0.132 0.433 [4 per cell]
6 P 0.256 0.697 0.875 [4 per cell]
7 P 0.342 0.031 0.081 [4 per cell]

Principal peaks in the range 5 to 70 degrees two-theta, by angle:
2θ (°), I_rel, index
23.45, 35, 1 3 0
23.58, 54, 0 3 1
24.05, 67, 2 0 -2
25.91, 86, 2 2 0
28.81, 39, 1 0 2
28.96, 88, 2 3 -1
29.31, 100, 2 1 1
29.86, 37, 1 4 0
29.97, 45, 0 4 1
31.75, 56, 1 1 -3
34.65, 40, 0 1 3
51.21, 32, 1 7 -1

***

Starting from a DFT-relaxed cell (GGA-PBE, the Materials Project), the powder diffractogram of Pr6Fe13Ag was calculated for copper Kα.

Atomic structure:
Cell lengths 8.075, 8.075, 23.464 Å; angles 90.00, 90.00, 90.00 degrees
Space group I4/mcm (No. 140)
Symmetry-distinct sites (fractional):
1 Pr 0.000 0.000 0.105 [8 per cell]
2 Pr 0.163 0.337 0.184 [16 per cell]
3 Fe 0.000 0.500 0.000 [4 per cell]
4 Fe 0.067 0.210 0.500 [16 per cell]
5 Fe 0.114 0.386 0.407 [16 per cell]
6 Fe 0.179 0.321 0.058 [16 per cell]
7 Ag 0.000 0.000 0.250 [4 per cell]

Principal peaks in the range 5 to 70 degrees two-theta, by angle:
2θ (°), I_rel, index
7.54, 34, 0 0 2
27.20, 75, 2 1 3
31.27, 100, 2 2 0
31.86, 33, 2 0 6
34.37, 32, 1 1 8
35.14, 85, 3 1 0
37.92, 58, 2 0 8
38.41, 43, 0 0 10
42.78, 48, 2 1 9
46.52, 43, 0 0 12
50.52, 39, 4 2 0
57.74, 30, 3 3 8

***

Starting from a DFT-relaxed cell (GGA-PBE, the Materials Project), the powder diffractogram of Sr4MgTi3O10 was calculated for copper Kα.

Atomic structure:
Cell lengths 3.991, 3.991, 30.204 Å; angles 90.00, 90.00, 90.00 degrees
Space group I4/mmm (No. 139)
Symmetry-distinct sites (fractional):
1 Sr 0.000 0.000 0.093 [4 per cell]
2 Sr 0.000 0.000 0.207 [4 per cell]
3 Mg 0.000 0.000 0.000 [2 per cell]
4 Ti 0.000 0.000 0.354 [4 per cell]
5 Ti 0.000 0.000 0.500 [2 per cell]
6 O 0.000 0.000 0.288 [4 per cell]
7 O 0.000 0.000 0.427 [4 per cell]
8 O 0.000 0.500 0.000 [4 per cell]
9 O 0.000 0.500 0.145 [8 per cell]

Principal peaks in the range 5 to 70 degrees two-theta, by angle:
2θ (°), I_rel, index
29.58, 22, 0 0 10
30.51, 92, 1 0 7
31.70, 100, 1 1 0
34.93, 29, 1 0 9
39.85, 23, 1 0 11
41.87, 15, 0 0 14
43.91, 42, 1 1 10
45.45, 68, 2 0 0
55.16, 15, 2 0 10
55.73, 34, 2 1 7
63.50, 14, 2 0 14
66.23, 20, 2 2 0

***

Copy entry 1 word for word.
Starting from a DFT-relaxed cell (GGA-PBE, the Materials Project), the powder diffractogram of CdCN2 was calculated for copper Kα.

Atomic structure:
Cell lengths 3.6105, 3.6105, 14.6345 Å; angles 90.00, 90.00, 120.00 degrees
Space group R-3m (No. 166, hexagonal axes)
Symmetry-distinct sites (fractional):
1 Cd 0.0000 0.0000 0.0000 [3 per cell]
2 C 0.0000 0.0000 0.5000 [3 per cell]
3 N 0.0000 0.0000 0.4155 [6 per cell]

Principal peaks in the range 5 to 70 degrees two-theta, by angle:
2θ (°), I_rel, index
18.19, 67, 0 0 3
29.21, 37, 1 0 1
31.10, 100, 0 1 2
36.85, 10, 0 0 6
37.85, 37, 1 0 4
42.30, 35, 0 1 5
50.56, 27, 1 1 0
52.67, 17, 1 0 7
54.17, 23, 1 1 3
58.45, 10, 0 1 8
60.56, 13, 2 0 2
64.18, 12, 1 1 6